No. 1
The following is a theoretical powder XRD pattern of La2Tb2O7. It was derived from a DFT-relaxed cell (PBE, the Materials Project), using Cu Kα (weighted mean of Kα1 and Kα2).
Lines closer than 0.1° are merged.

Peak list (10 most intense, 10° ≤ 2θ ≤ 90°, in order of rising 2θ)
2θ 26.35, intensity 1, hkl 3 1 1
2θ 27.54, intensity 100, hkl 2 2 2
2θ 31.91, intensity 33, hkl 4 0 0
2θ 45.75, intensity 51, hkl 4 4 0
2θ 54.23, intensity 46, hkl 6 2 2
2θ 56.86, intensity 10, hkl 4 4 4
2θ 66.69, intensity 8, hkl 8 0 0
2θ 73.60, intensity 18, hkl 6 6 2
2θ 75.84, intensity 14, hkl 8 4 0
2θ 84.64, intensity 15, hkl 8 4 4

Structural model:
a = 11.219 Å, b = 11.219 Å, c = 11.219 Å
α = 90.00°, β = 90.00°, γ = 90.00°
Space group Fd-3m (No. 227, origin choice 2)
Asymmetric unit:
La (0.000, 0.000, 0.000)
Tb (0.000, 0.000, 0.500)
O (0.098, 0.375, 0.875)
O (0.125, 0.125, 0.125)

=====

No. 2
The following is a theoretical powder XRD pattern of La2TeO6. It was derived from a DFT-relaxed cell (PBE, the Materials Project), using Cu Kα (weighted mean of Kα1 and Kα2).
Lines closer than 0.1° are merged.

Peak list (10 most intense, 10° ≤ 2θ ≤ 90°, in order of rising 2θ)
2θ 18.53, intensity 56, hkl 1 0 1
2θ 21.78, intensity 28, hkl 0 1 2
2θ 30.24, intensity 100, hkl 1 1 0
2θ 31.71, intensity 98, hkl 1 0 4
2θ 37.59, intensity 24, hkl 2 0 2
2θ 44.39, intensity 53, hkl 0 2 4
2θ 53.73, intensity 29, hkl 3 0 0
2θ 54.66, intensity 46, hkl 3 -1 4
2θ 66.24, intensity 19, hkl 2 0 8
2θ 74.53, intensity 20, hkl 1 2 8

Structural model:
a = 5.9102 Å, b = 5.9102 Å, c = 13.5261 Å
α = 90.00°, β = 90.00°, γ = 120.00°
Space group R-3 (No. 148, hexagonal axes)
Asymmetric unit:
La (0.0000, 0.0000, 0.2484)
Te (0.0000, 0.0000, 0.0000)
O (0.0436, 0.4221, 0.7488)

=====

No. 3
The following is a theoretical powder XRD pattern of La2TeO6. It was derived from a DFT-relaxed cell (PBE, the Materials Project), using Cu Kα (weighted mean of Kα1 and Kα2).
Lines closer than 0.1° are merged.

Peak list (10 most intense, 10° ≤ 2θ ≤ 90°, in order of rising 2θ)
2θ 24.59, intensity 42, hkl 1 2 0
2θ 25.15, intensity 80, hkl 1 1 2
2θ 26.04, intensity 100, hkl 1 2 1
2θ 27.17, intensity 28, hkl 0 1 3
2θ 29.33, intensity 27, hkl 0 3 1
2θ 31.67, intensity 54, hkl 1 1 3
2θ 32.23, intensity 33, hkl 2 0 0
2θ 32.92, intensity 26, hkl 0 3 2
2θ 44.13, intensity 28, hkl 2 3 1
2θ 51.34, intensity 28, hkl 1 5 1

Structural model:
a = 5.555 Å, b = 9.548 Å, c = 10.484 Å
α = 90.00°, β = 90.00°, γ = 90.00°
Space group P2_12_12_1 (No. 19)
Asymmetric unit:
La (0.024, 0.104, 0.456)
La (0.030, 0.217, 0.859)
Te (0.039, 0.496, 0.359)
O (0.074, 0.851, 0.023)
O (0.169, 0.948, 0.282)
O (0.178, 0.635, 0.247)
O (0.199, 0.637, 0.825)
O (0.219, 0.112, 0.064)
O (0.245, 0.584, 0.492)

=====

No. 4
The following is a theoretical powder XRD pattern of LaTiTeO6. It was derived from a DFT-relaxed cell (PBE, the Materials Project), using Cu Kα (weighted mean of Kα1 and Kα2).
Lines closer than 0.1° are merged.

Peak list (10 most intense, 10° ≤ 2θ ≤ 90°, in order of rising 2θ)
2θ 19.21, intensity 10, hkl 1 0 0
2θ 25.78, intensity 100, hkl 1 0 1
2θ 33.60, intensity 31, hkl 1 1 0
2θ 42.83, intensity 24, hkl 2 0 1
2θ 48.89, intensity 37, hkl 1 1 2
2θ 55.51, intensity 23, hkl 2 1 1
2θ 56.67, intensity 10, hkl 1 0 3
2θ 60.08, intensity 12, hkl 3 0 0
2θ 76.57, intensity 9, hkl 4 -1 1
2θ 77.56, intensity 9, hkl 3 -1 3

Structural model:
a = 5.3348 Å, b = 5.3348 Å, c = 5.2055 Å
α = 90.00°, β = 90.00°, γ = 120.00°
Space group P312 (No. 149)
Asymmetric unit:
La (0.0000, 0.0000, 0.0000)
Ti (0.3333, 0.6667, 0.5000)
Te (0.6667, 0.3333, 0.5000)
O (0.0070, 0.3719, 0.2884)

=====

No. 5
The following is a theoretical powder XRD pattern of La2Th3O9. It was derived from a DFT-relaxed cell (PBE, the Materials Project), using Cu Kα (weighted mean of Kα1 and Kα2).
Lines closer than 0.1° are merged.

Peak list (10 most intense, 10° ≤ 2θ ≤ 90°, in order of rising 2θ)
2θ 27.29, intensity 100, hkl 1 0 5
2θ 31.40, intensity 16, hkl 0 0 10
2θ 31.73, intensity 24, hkl 1 1 0
2θ 45.24, intensity 33, hkl 1 1 10
2θ 45.48, intensity 17, hkl 2 0 0
2θ 53.44, intensity 14, hkl 1 0 15
2θ 53.86, intensity 31, hkl 2 1 5
2θ 56.31, intensity 12, hkl 2 0 10
2θ 72.73, intensity 12, hkl 2 1 15
2θ 83.89, intensity 11, hkl 3 1 10

Structural model:
a = 3.989 Å, b = 3.989 Å, c = 28.486 Å
α = 90.00°, β = 90.00°, γ = 90.00°
Space group I-4m2 (No. 119)
Asymmetric unit:
La (0.000, 0.000, 0.193)
Th (0.000, 0.000, 0.000)
Th (0.000, 0.000, 0.402)
O (0.000, 0.500, 0.047)
O (0.000, 0.500, 0.144)
O (0.000, 0.500, 0.250)
O (0.000, 0.500, 0.551)
O (0.000, 0.500, 0.652)

=====

No. 6
The following is a theoretical powder XRD pattern of La2Th2O7. It was derived from a DFT-relaxed cell (PBE, the Materials Project), using Cu Kα (weighted mean of Kα1 and Kα2).
Lines closer than 0.1° are merged.

Peak list (10 most intense, 10° ≤ 2θ ≤ 90°, in order of rising 2θ)
2θ 27.23, intensity 100, hkl 1 0 2
2θ 31.23, intensity 11, hkl 0 0 4
2θ 31.69, intensity 24, hkl 1 1 0
2θ 45.09, intensity 33, hkl 1 1 4
2θ 45.43, intensity 17, hkl 2 0 0
2θ 53.18, intensity 14, hkl 1 0 6
2θ 53.77, intensity 31, hkl 2 1 2
2θ 56.16, intensity 10, hkl 2 0 4
2θ 72.48, intensity 11, hkl 2 1 6
2θ 83.72, intensity 10, hkl 3 1 4

Structural model:
a = 3.993 Å, b = 3.993 Å, c = 11.454 Å
α = 90.00°, β = 90.00°, γ = 90.00°
Space group P-4m2 (No. 115)
Asymmetric unit:
La (0.000, 0.500, 0.142)
Th (0.000, 0.500, 0.623)
O (0.000, 0.000, 0.246)
O (0.000, 0.000, 0.500)
O (0.500, 0.500, 0.000)
O (0.500, 0.500, 0.263)
O (0.500, 0.500, 0.500)